Calculated X-ray powder pattern of BaGa4O7 for CuKα, from a DFT-relaxed cell (PBE, the Materials Project).
Intensities are scaled so that the largest is 100.

Top 10 peaks for 5 to 70 degrees two-theta, in order of falling intensity:
2θ/deg  d [Å]  Rel. int.  hkl
23.94  3.717  100  3 1 -1
31.56  2.835  57  0 0 2
32.23  2.778  57  1 3 -1
29.94  2.984  50  3 1 1
29.76  3.002  34  2 2 1
22.94  3.876  28  2 2 0
32.72  2.737  28  4 2 0
25.88  3.443  27  2 2 -1
40.41  2.232  25  6 0 0
28.95  3.084  25  1 3 0

Crystal structure
Cell lengths 13.8413, 9.5065, 5.8597 Å; angles 90.00, 104.63, 90.00 degrees
Space group C2/c (No. 15)
Symmetry-distinct sites (fractional):
1 Ba 0.0000 0.1900 0.2500
2 Ga 0.1201 0.4355 0.7684
3 Ga 0.1737 0.0867 0.8010
4 O 0.0000 0.4766 0.2500
5 O 0.1222 0.0384 0.0531
6 O 0.1263 0.2560 0.6669
7 O 0.1862 0.4422 0.0974